No. 1
Calculated powder diffractogram
Compound: Pr3NiRh
Radiation: copper Kα
Structure: a crystal structure in Alexandria, relaxed with GGA-PBE
Lines closer than 0.1° are merged.

Atomic structure:
Lattice parameters (Å, degrees): 7.6208 7.6208 7.6208 55.28 55.28 55.28
Positions (direct):
Pr (0.1128, 0.3925, 0.7451)
Pr (0.2549, 0.8872, 0.6075)
Pr (0.3925, 0.7451, 0.1128)
Pr (0.6075, 0.2549, 0.8872)
Pr (0.7451, 0.1128, 0.3925)
Pr (0.8872, 0.6075, 0.2549)
Ni (0.3181, 0.3181, 0.3181)
Ni (0.6819, 0.6819, 0.6819)
Rh (0.1778, 0.1778, 0.1778)
Rh (0.8222, 0.8222, 0.8222)

The 6 most intense peaks (10° ≤ 2θ ≤ 90°), most intense first:
- 2θ = 28.81°, intensity 100
- 2θ = 37.81°, intensity 48
- 2θ = 44.38°, intensity 37
- 2θ = 49.72°, intensity 22
- 2θ = 53.78°, intensity 15
- 2θ = 30.64°, intensity 13

No. 2
Calculated powder diffractogram
Compound: Pr3Ni3Rh
Radiation: copper Kα
Structure: a crystal structure in Alexandria, relaxed with GGA-PBE
Lines closer than 0.1° are merged.

Atomic structure:
Lattice parameters (Å, degrees): 5.3853 5.3853 13.4126 90.00 90.00 132.13
Positions (direct):
Pr (0.0221, 0.9779, 0.7500)
Pr (0.2704, 0.7296, 0.1004)
Pr (0.2704, 0.7296, 0.3996)
Pr (0.7296, 0.2704, 0.6004)
Pr (0.7296, 0.2704, 0.8996)
Pr (0.9779, 0.0221, 0.2500)
Ni (0.3199, 0.6801, 0.7500)
Ni (0.4377, 0.5623, 0.5865)
Ni (0.4377, 0.5623, 0.9135)
Ni (0.5623, 0.4377, 0.0865)
Ni (0.5623, 0.4377, 0.4135)
Ni (0.6801, 0.3199, 0.2500)
Rh (0.0000, 0.0000, 0.0000)
Rh (0.0000, 0.0000, 0.5000)

The 6 most intense peaks (10° ≤ 2θ ≤ 90°), most intense first:
- 2θ = 34.90°, intensity 100
- 2θ = 30.00°, intensity 78
- 2θ = 32.30°, intensity 51
- 2θ = 41.32°, intensity 49
- 2θ = 39.83°, intensity 45
- 2θ = 34.17°, intensity 40

No. 3
Calculated powder diffractogram
Compound: Pr2NiSb4Rh3
Radiation: copper Kα
Structure: a crystal structure in Alexandria, relaxed with GGA-PBE
Lines closer than 0.1° are merged.

Atomic structure:
Lattice parameters (Å, degrees): 4.5568 4.5568 10.4269 90.00 90.00 90.00
Positions (direct):
Pr (0.0000, 0.5000, 0.2405)
Pr (0.5000, 0.0000, 0.7595)
Ni (0.5000, 0.5000, 0.0000)
Sb (0.0000, 0.0000, 0.5000)
Sb (0.0000, 0.5000, 0.8743)
Sb (0.5000, 0.0000, 0.1257)
Sb (0.5000, 0.5000, 0.5000)
Rh (0.0000, 0.0000, 0.0000)
Rh (0.0000, 0.5000, 0.6253)
Rh (0.5000, 0.0000, 0.3747)

The 6 most intense peaks (10° ≤ 2θ ≤ 90°), most intense first:
- 2θ = 32.67°, intensity 100
- 2θ = 39.55°, intensity 80
- 2θ = 32.40°, intensity 75
- 2θ = 52.02°, intensity 39
- 2θ = 44.72°, intensity 29
- 2θ = 57.18°, intensity 27

No. 4
Calculated powder diffractogram
Compound: Pr2NiSn2Rh
Radiation: copper Kα
Structure: a crystal structure in Alexandria, relaxed with GGA-PBE
Lines closer than 0.1° are merged.

Atomic structure:
Lattice parameters (Å, degrees): 8.3720 8.3720 8.3720 134.50 65.82 135.14
Positions (direct):
Pr (0.1508, 0.2411, 0.3918)
Pr (0.3492, 0.7411, 0.0903)
Pr (0.6508, 0.2589, 0.9097)
Pr (0.8492, 0.7589, 0.6082)
Ni (0.2500, 0.7500, 0.5000)
Ni (0.7500, 0.2500, 0.5000)
Sn (0.1029, 0.7332, 0.8361)
Sn (0.3971, 0.2332, 0.6304)
Sn (0.6029, 0.7668, 0.3696)
Sn (0.8971, 0.2668, 0.1639)
Rh (0.2500, 0.2500, 0.0000)
Rh (0.7500, 0.7500, 0.0000)

The 6 most intense peaks (10° ≤ 2θ ≤ 90°), most intense first:
- 2θ = 39.63°, intensity 100
- 2θ = 37.78°, intensity 86
- 2θ = 38.07°, intensity 85
- 2θ = 32.19°, intensity 66
- 2θ = 71.06°, intensity 45
- 2θ = 12.59°, intensity 39

No. 5
Calculated powder diffractogram
Compound: PrSmNiRu
Radiation: copper Kα
Structure: a crystal structure in Alexandria, relaxed with GGA-PBE
Lines closer than 0.1° are merged.

Atomic structure:
Lattice parameters (Å, degrees): 4.0906 5.8013 5.8013 41.07 90.00 90.00
Positions (direct):
Pr (0.0000, 0.0000, 0.0000)
Sm (0.5000, 0.2852, 0.2852)
Ni (0.5000, 0.5792, 0.5792)
Ru (0.0000, 0.7147, 0.7147)

The 6 most intense peaks (10° ≤ 2θ ≤ 90°), most intense first:
- 2θ = 32.10°, intensity 100
- 2θ = 39.95°, intensity 51
- 2θ = 33.11°, intensity 49
- 2θ = 56.37°, intensity 31
- 2θ = 39.84°, intensity 26
- 2θ = 44.29°, intensity 24

No. 6
Calculated powder diffractogram
Compound: PrNiSb
Radiation: copper Kα
Structure: a crystal structure in Alexandria, relaxed with GGA-PBE
Lines closer than 0.1° are merged.

Atomic structure:
Lattice parameters (Å, degrees): 4.3779 4.3779 4.2298 90.00 90.00 120.00
Positions (direct):
Pr (0.0000, 0.0000, 0.0000)
Ni (0.3333, 0.6667, 0.5000)
Sb (0.6667, 0.3333, 0.5000)

The 6 most intense peaks (10° ≤ 2θ ≤ 90°), most intense first:
- 2θ = 31.69°, intensity 100
- 2θ = 41.24°, intensity 45
- 2θ = 60.91°, intensity 28
- 2θ = 52.93°, intensity 23
- 2θ = 69.22°, intensity 20
- 2θ = 42.76°, intensity 14

No. 7
Calculated powder diffractogram
Compound: Pr12Ni6Sb
Radiation: copper Kα
Structure: a crystal structure in Alexandria, relaxed with GGA-PBE
Lines closer than 0.1° are merged.

Atomic structure:
Lattice parameters (Å, degrees): 8.7960 8.7960 8.7960 109.47 109.47 109.47
Positions (direct):
Pr (0.1222, 0.8143, 0.3079)
Pr (0.1857, 0.3079, 0.4937)
Pr (0.1857, 0.6921, 0.8778)
Pr (0.3079, 0.1222, 0.8143)
Pr (0.3079, 0.4937, 0.1857)
Pr (0.4937, 0.1857, 0.3079)
Pr (0.5063, 0.8143, 0.6921)
Pr (0.6921, 0.5063, 0.8143)
Pr (0.6921, 0.8778, 0.1857)
Pr (0.8143, 0.3079, 0.1222)
Pr (0.8143, 0.6921, 0.5063)
Pr (0.8778, 0.1857, 0.6921)
Ni (0.1208, 0.6208, 0.5000)
Ni (0.3792, 0.5000, 0.8792)
Ni (0.5000, 0.1208, 0.6208)
Ni (0.5000, 0.8792, 0.3792)
Ni (0.6208, 0.5000, 0.1208)
Ni (0.8792, 0.3792, 0.5000)
Sb (0.0000, 0.0000, 0.0000)

The 6 most intense peaks (10° ≤ 2θ ≤ 90°), most intense first:
- 2θ = 33.00°, intensity 100
- 2θ = 27.78°, intensity 42
- 2θ = 30.49°, intensity 35
- 2θ = 52.54°, intensity 33
- 2θ = 55.80°, intensity 33
- 2θ = 45.54°, intensity 23

No. 8
Calculated powder diffractogram
Compound: PrSiNi3
Radiation: copper Kα
Structure: a crystal structure in Alexandria, relaxed with GGA-PBE
Lines closer than 0.1° are merged.

Atomic structure:
Lattice parameters (Å, degrees): 5.7445 5.7445 11.2443 90.00 90.00 120.00
Positions (direct):
Pr (0.0000, 0.0000, 0.0000)
Pr (0.0000, 0.0000, 0.5000)
Pr (0.3333, 0.6667, 0.2500)
Pr (0.6667, 0.3333, 0.7500)
Si (0.3333, 0.6667, 0.6390)
Si (0.3333, 0.6667, 0.8610)
Si (0.6667, 0.3333, 0.1390)
Si (0.6667, 0.3333, 0.3610)
Ni (0.0000, 0.5000, 0.0000)
Ni (0.0000, 0.5000, 0.5000)
Ni (0.1388, 0.2777, 0.7500)
Ni (0.1388, 0.8612, 0.7500)
Ni (0.2777, 0.1388, 0.2500)
Ni (0.5000, 0.0000, 0.0000)
Ni (0.5000, 0.0000, 0.5000)
Ni (0.5000, 0.5000, 0.0000)
Ni (0.5000, 0.5000, 0.5000)
Ni (0.7223, 0.8612, 0.7500)
Ni (0.8612, 0.1388, 0.2500)
Ni (0.8612, 0.7223, 0.2500)

The 6 most intense peaks (10° ≤ 2θ ≤ 90°), most intense first:
- 2θ = 39.62°, intensity 100
- 2θ = 31.83°, intensity 48
- 2θ = 37.01°, intensity 27
- 2θ = 43.67°, intensity 27
- 2θ = 62.00°, intensity 23
- 2θ = 31.14°, intensity 20